Starting from the PBE geometry in Alexandria, the powder X-ray diffraction pattern of Sr2SmPt9 was simulated for Cu Ka.

Most intense lines, 2θ from 5° to 70°, sorted by position:
2θ/deg, I_rel
19.01, 34.1
38.12, 23.2
38.50, 100.0
40.00, 29.0
41.61, 37.8
44.86, 26.1
62.27, 21.3
68.59, 23.0

Cell and atoms:
Lattice parameters (Å, degrees): 5.4729 5.4729 27.0468 90.00 90.00 120.00
Space group R-3m (No. 166, hexagonal axes)
Symmetry-distinct sites (fractional):
Sr1 0.0000 0.0000 0.1416 [6 per cell]
Sm1 0.0000 0.0000 0.0000 [3 per cell]
Pt1 0.0000 0.0000 0.3327 [6 per cell]
Pt2 0.0000 0.0000 0.5000 [3 per cell]
Pt3 0.0016 0.5008 0.9176 [18 per cell]